1.
BaNd2CuS4: theoretical PXRD pattern (a wavelength of 1.5418 Å), based on a crystal structure in Alexandria, relaxed with PBE.
Peak positions follow from Bragg's law for the DFT cell and can differ from measured ones.

Most intense lines, 2θ = 5–70°, in order of rising 2θ:
(0 2 3), 2θ = 23.0°, rel. 76
(0 4 0), 2θ = 25.9°, rel. 48
(1 1 2), 2θ = 26.1°, rel. 70
(1 3 1), 2θ = 30.0°, rel. 59
(1 3 2), 2θ = 32.1°, rel. 100
(1 1 5), 2θ = 39.6°, rel. 39
(1 5 2), 2θ = 41.7°, rel. 27
(1 3 5), 2θ = 43.9°, rel. 27
(0 6 3), 2θ = 44.0°, rel. 26
(1 5 3), 2θ = 44.2°, rel. 29
(2 0 0), 2θ = 44.5°, rel. 32
(2 4 0), 2θ = 52.2°, rel. 22

Structure:
```
data_BaNd2CuS4
_cell_length_a 4.076
_cell_length_b 13.746
_cell_length_c 14.001
_cell_angle_alpha 90.00
_cell_angle_beta 90.00
_cell_angle_gamma 90.00
_space_group_name_H-M_alt 'C m c m'
_space_group_IT_number 63
_space_group_name_Hall '-C 2c 2'
loop_
_atom_site_label
_atom_site_type_symbol
_atom_site_fract_x
_atom_site_fract_y
_atom_site_fract_z
Ba1 Ba 0.000 0.111 0.250
Nd1 Nd 0.000 0.370 0.057
Cu1 Cu 0.000 0.159 0.750
S1 S 0.000 0.000 0.000
S2 S 0.000 0.268 0.620
S3 S 0.000 0.432 0.250
```

***

2.
Tb5Ho12Th2: theoretical PXRD pattern (a wavelength of 1.5418 Å), based on a crystal structure in Alexandria, relaxed with PBE.
Peak positions follow from Bragg's law for the DFT cell and can differ from measured ones.

Most intense lines, 2θ = 5–70°, in order of rising 2θ:
(1 -2 1), 2θ = 27.4°, rel. 23
(0 3 2), 2θ = 28.8°, rel. 32
(2 1 1), 2θ = 30.8°, rel. 60
(1 0 -3), 2θ = 31.4°, rel. 100
(0 3 3), 2θ = 32.0°, rel. 74
(2 1 2), 2θ = 32.2°, rel. 44
(1 -2 2), 2θ = 32.5°, rel. 57
(1 1 4), 2θ = 33.5°, rel. 50
(1 3 0), 2θ = 33.8°, rel. 67
(-2 2 1), 2θ = 35.9°, rel. 41
(2 4 4), 2θ = 50.9°, rel. 21
(1 6 2), 2θ = 59.8°, rel. 16

Structure:
```
data_Tb5Ho12Th2
_cell_length_a 6.062
_cell_length_b 9.585
_cell_length_c 11.261
_cell_angle_alpha 69.95
_cell_angle_beta 82.09
_cell_angle_gamma 88.84
_space_group_name_H-M_alt 'P -1'
_space_group_IT_number 2
loop_
_space_group_symop_operation_xyz
'x,y,z'
'-x,-y,-z'
loop_
_atom_site_label
_atom_site_type_symbol
_atom_site_fract_x
_atom_site_fract_y
_atom_site_fract_z
Tb1 Tb 0.000 0.000 0.000
Tb2 Tb 0.107 0.956 0.342
Tb3 Tb 0.493 0.551 0.831
Ho1 Ho 0.037 0.688 0.655
Ho2 Ho 0.079 0.312 0.045
Ho3 Ho 0.175 0.321 0.725
Ho4 Ho 0.379 0.911 0.786
Ho5 Ho 0.422 0.816 0.102
Ho6 Ho 0.429 0.188 0.485
Th1 Th 0.276 0.566 0.420
```

***

3.
SbPd12: theoretical PXRD pattern (a wavelength of 1.5418 Å), based on a crystal structure in Alexandria, relaxed with PBE.
Peak positions follow from Bragg's law for the DFT cell and can differ from measured ones.

Most intense lines, 2θ = 5–70°, in order of rising 2θ:
(1 1 0), 2θ = 16.7°, rel. 3
(2 2 0), 2θ = 33.8°, rel. 12
(3 0 1), 2θ = 37.9°, rel. 100
(2 2 2), 2θ = 41.7°, rel. 33
(3 1 2), 2θ = 45.2°, rel. 70
(4 0 0), 2θ = 48.5°, rel. 7
(3 3 0), 2θ = 51.6°, rel. 4
(4 2 0), 2θ = 54.7°, rel. 3
(3 3 2), 2θ = 57.6°, rel. 4
(4 2 2), 2θ = 60.4°, rel. 8
(4 3 1), 2θ = 63.1°, rel. 10
(5 1 2), 2θ = 68.4°, rel. 2

Structure:
```
data_SbPd12
_cell_length_a 7.508
_cell_length_b 7.508
_cell_length_c 7.508
_cell_angle_alpha 90.00
_cell_angle_beta 90.00
_cell_angle_gamma 90.00
_space_group_name_H-M_alt 'I m -3'
_space_group_IT_number 204
_space_group_name_Hall '-I 2 2 3'
loop_
_atom_site_label
_atom_site_type_symbol
_atom_site_fract_x
_atom_site_fract_y
_atom_site_fract_z
Sb1 Sb 0.000 0.000 0.000
Pd1 Pd 0.000 0.314 0.183
```

***

4.
CaPm2PuSb4: theoretical PXRD pattern (a wavelength of 1.5418 Å), based on a crystal structure in Alexandria, relaxed with PBE.
Peak positions follow from Bragg's law for the DFT cell and can differ from measured ones.

Most intense lines, 2θ = 5–70°, in order of rising 2θ:
(1 0 1), 2θ = 15.6°, rel. 28
(0 0 4), 2θ = 28.0°, rel. 50
(2 0 0), 2θ = 28.2°, rel. 100
(2 1 1), 2θ = 32.4°, rel. 10
(2 0 4), 2θ = 40.2°, rel. 77
(2 2 0), 2θ = 40.3°, rel. 38
(2 2 4), 2θ = 49.8°, rel. 41
(0 0 8), 2θ = 57.9°, rel. 6
(4 0 0), 2θ = 58.3°, rel. 13
(2 0 8), 2θ = 65.6°, rel. 17
(4 0 4), 2θ = 65.9°, rel. 18
(4 2 0), 2θ = 66.0°, rel. 18

Structure:
```
data_CaPm2PuSb4
_cell_length_a 6.328
_cell_length_b 6.328
_cell_length_c 12.742
_cell_angle_alpha 90.00
_cell_angle_beta 90.00
_cell_angle_gamma 90.00
_space_group_name_H-M_alt 'I 4/m m m'
_space_group_IT_number 139
_space_group_name_Hall '-I 4 2'
loop_
_atom_site_label
_atom_site_type_symbol
_atom_site_fract_x
_atom_site_fract_y
_atom_site_fract_z
Ca1 Ca 0.000 0.000 0.000
Pm1 Pm 0.000 0.500 0.250
Pu1 Pu 0.000 0.000 0.500
Sb1 Sb 0.000 0.000 0.258
Sb2 Sb 0.000 0.500 0.000
```

***

5.
Dy2CrOs3: theoretical PXRD pattern (a wavelength of 1.5418 Å), based on a crystal structure in Alexandria, relaxed with PBE.
Peak positions follow from Bragg's law for the DFT cell and can differ from measured ones.

Most intense lines, 2θ = 5–70°, in order of rising 2θ:
(0 0 2), 2θ = 21.2°, rel. 19
(1 0 2), 2θ = 28.6°, rel. 13
(1 0 3), 2θ = 37.5°, rel. 62
(2 0 0), 2θ = 38.5°, rel. 24
(1 1 2), 2θ = 39.7°, rel. 61
(2 0 1), 2θ = 40.0°, rel. 100
(0 0 4), 2θ = 43.2°, rel. 13
(2 0 2), 2θ = 44.3°, rel. 10
(2 1 3), 2θ = 62.1°, rel. 26
(3 0 2), 2θ = 63.7°, rel. 15
(2 0 5), 2θ = 68.9°, rel. 31
(2 2 0), 2θ = 69.6°, rel. 27

Structure:
```
data_Dy2CrOs3
_cell_length_a 5.4044
_cell_length_b 5.4044
_cell_length_c 8.3749
_cell_angle_alpha 90.00
_cell_angle_beta 90.00
_cell_angle_gamma 120.00
_space_group_name_H-M_alt 'P 63/m m c'
_space_group_IT_number 194
_space_group_name_Hall '-P 6c 2c'
loop_
_atom_site_label
_atom_site_type_symbol
_atom_site_fract_x
_atom_site_fract_y
_atom_site_fract_z
Dy1 Dy 0.3333 0.6667 0.0647
Cr1 Cr 0.0000 0.0000 0.0000
Os1 Os 0.1693 0.3386 0.7500
```